[1]
Diffraction record for PaIn4Pd15. The X-ray powder pattern is theoretical, not measured: it uses DFT lattice parameters and positions (PBE) and Cu Kα (λ = 1.5418 Å).
No peak broadening, texture or thermal motion is included.

Atomic structure:
```
data_PaIn4Pd15
_chemical_formula_sum 'Pa1 In4 Pd15'
_symmetry_space_group_name_H-M 'P 4/m m m'
_symmetry_Int_Tables_number 123
_symmetry_space_group_name_Hall '-P 4 2'
_cell_length_a 4.069
_cell_length_b 4.069
_cell_length_c 20.247
_cell_angle_alpha 90.00
_cell_angle_beta 90.00
_cell_angle_gamma 90.00
loop_
_atom_site_label
_atom_site_type_symbol
_atom_site_fract_x
_atom_site_fract_y
_atom_site_fract_z
Pa1 Pa 0.000 0.000 0.000
In1 In 0.000 0.000 0.206
In2 In 0.000 0.000 0.401
Pd1 Pd 0.000 0.500 0.100
Pd2 Pd 0.000 0.500 0.302
Pd3 Pd 0.000 0.500 0.500
Pd4 Pd 0.500 0.500 0.000
Pd5 Pd 0.500 0.500 0.201
Pd6 Pd 0.500 0.500 0.401
```

Principal peaks in the range 2θ from 15° to 90°, by angle:
2θ = 21.84°, d = 4.069 Å, I 1; 2θ = 31.13°, d = 2.873 Å, I 1; 2θ = 38.38°, d = 2.345 Å, I 100; 2θ = 44.53°, d = 2.035 Å, I 33; 2θ = 44.76°, d = 2.025 Å, I 16; 2θ = 64.81°, d = 1.439 Å, I 10; 2θ = 64.98°, d = 1.435 Å, I 20; 2θ = 77.90°, d = 1.226 Å, I 24; 2θ = 78.23°, d = 1.222 Å, I 12; 2θ = 82.20°, d = 1.173 Å, I 11


[2]
Diffraction record for Pa2In3Pd4. The X-ray powder pattern is theoretical, not measured: it uses DFT lattice parameters and positions (PBE) and Cu Kα (λ = 1.5418 Å).
No peak broadening, texture or thermal motion is included.

Atomic structure:
```
data_Pa2In3Pd4
_chemical_formula_sum 'Pa4 In6 Pd8'
_symmetry_space_group_name_H-M 'C 1 2/m 1'
_symmetry_Int_Tables_number 12
_cell_length_a 8.219
_cell_length_b 4.743
_cell_length_c 9.585
_cell_angle_alpha 90.00
_cell_angle_beta 90.05
_cell_angle_gamma 90.00
loop_
_symmetry_equiv_pos_as_xyz
'x,y,z'
'-x,-y,-z'
'-x,y,-z'
'x,-y,z'
'x+1/2,y+1/2,z'
'-x+1/2,-y+1/2,-z'
'-x+1/2,y+1/2,-z'
'x+1/2,-y+1/2,z'
loop_
_atom_site_label
_atom_site_type_symbol
_atom_site_fract_x
_atom_site_fract_y
_atom_site_fract_z
Pa1 Pa 0.167 0.000 0.219
In1 In 0.000 0.500 0.000
In2 In 0.166 0.000 0.585
Pd1 Pd 0.001 0.500 0.354
Pd2 Pd 0.167 0.000 0.919
```

Principal peaks in the range 2θ from 15° to 90°, by angle:
2θ = 23.56°, d = 3.776 Å, I 15; 2θ = 28.62°, d = 3.119 Å, I 13; 2θ = 35.60°, d = 2.522 Å, I 100; 2θ = 37.93°, d = 2.372 Å, I 91; 2θ = 53.00°, d = 1.728 Å, I 32; 2θ = 62.27°, d = 1.491 Å, I 8; 2θ = 62.37°, d = 1.489 Å, I 12; 2θ = 67.01°, d = 1.397 Å, I 31; 2θ = 68.52°, d = 1.369 Å, I 17; 2θ = 81.09°, d = 1.186 Å, I 14


[3]
Diffraction record for PrPaIn2. The X-ray powder pattern is theoretical, not measured: it uses DFT lattice parameters and positions (PBE) and Cu Kα (λ = 1.5418 Å).
No peak broadening, texture or thermal motion is included.

Atomic structure:
```
data_PrPaIn2
_chemical_formula_sum 'Pr3 Pa3 In6'
_symmetry_space_group_name_H-M 'R -3 m'
_symmetry_Int_Tables_number 166
_symmetry_space_group_name_Hall '-R 3 2"'
_cell_length_a 3.3301
_cell_length_b 3.3301
_cell_length_c 33.8753
_cell_angle_alpha 90.00
_cell_angle_beta 90.00
_cell_angle_gamma 120.00
loop_
_atom_site_label
_atom_site_type_symbol
_atom_site_fract_x
_atom_site_fract_y
_atom_site_fract_z
Pr1 Pr 0.0000 0.0000 0.0000
Pa1 Pa 0.0000 0.0000 0.5000
In1 In 0.0000 0.0000 0.2484
```

Principal peaks in the range 2θ from 15° to 90°, by angle:
2θ = 15.70°, d = 5.646 Å, I 9; 2θ = 31.70°, d = 2.823 Å, I 36; 2θ = 32.81°, d = 2.730 Å, I 100; 2θ = 37.74°, d = 2.384 Å, I 68; 2θ = 53.71°, d = 1.707 Å, I 24; 2θ = 55.16°, d = 1.665 Å, I 23; 2θ = 63.72°, d = 1.461 Å, I 14; 2θ = 65.03°, d = 1.434 Å, I 28; 2θ = 65.68°, d = 1.422 Å, I 13; 2θ = 68.77°, d = 1.365 Å, I 12


[4]
Diffraction record for Pu6Pa12In. The X-ray powder pattern is theoretical, not measured: it uses DFT lattice parameters and positions (PBE) and Cu Kα (λ = 1.5418 Å).
No peak broadening, texture or thermal motion is included.

Atomic structure:
```
data_Pu6Pa12In
_chemical_formula_sum 'Pu18 Pa36 In3'
_symmetry_space_group_name_H-M 'R -3 m'
_symmetry_Int_Tables_number 166
_symmetry_space_group_name_Hall '-R 3 2"'
_cell_length_a 13.2997
_cell_length_b 13.2997
_cell_length_c 9.2210
_cell_angle_alpha 90.00
_cell_angle_beta 90.00
_cell_angle_gamma 120.00
loop_
_atom_site_label
_atom_site_type_symbol
_atom_site_fract_x
_atom_site_fract_y
_atom_site_fract_z
Pu1 Pu 0.0353 0.5177 0.2443
Pa1 Pa 0.0000 0.3817 0.5000
Pa2 Pa 0.0835 0.1670 0.3339
In1 In 0.0000 0.0000 0.0000
```

Principal peaks in the range 2θ from 15° to 90°, by angle:
2θ = 29.59°, d = 3.018 Å, I 100; 2θ = 32.08°, d = 2.790 Å, I 61; 2θ = 35.34°, d = 2.540 Å, I 75; 2θ = 35.72°, d = 2.513 Å, I 33; 2θ = 36.80°, d = 2.442 Å, I 64; 2θ = 37.48°, d = 2.399 Å, I 52; 2θ = 39.30°, d = 2.293 Å, I 30; 2θ = 42.23°, d = 2.140 Å, I 45; 2θ = 43.94°, d = 2.061 Å, I 69; 2θ = 63.62°, d = 1.463 Å, I 31


[5]
Diffraction record for Pa2InSi3Rh4. The X-ray powder pattern is theoretical, not measured: it uses DFT lattice parameters and positions (PBE) and Cu Kα (λ = 1.5418 Å).
No peak broadening, texture or thermal motion is included.

Atomic structure:
```
data_Pa2InSi3Rh4
_chemical_formula_sum 'Pa2 In1 Si3 Rh4'
_symmetry_space_group_name_H-M 'P -4 m 2'
_symmetry_Int_Tables_number 115
_cell_length_a 4.005
_cell_length_b 4.005
_cell_length_c 10.977
_cell_angle_alpha 90.00
_cell_angle_beta 90.00
_cell_angle_gamma 90.00
loop_
_symmetry_equiv_pos_as_xyz
'x,y,z'
'y,-x,-z'
'-x,-y,z'
'-y,x,-z'
'-x,y,z'
'-y,-x,-z'
'x,-y,z'
'y,x,-z'
loop_
_atom_site_label
_atom_site_type_symbol
_atom_site_fract_x
_atom_site_fract_y
_atom_site_fract_z
Pa1 Pa 0.000 0.500 0.237
In1 In 0.000 0.000 0.500
Si1 Si 0.000 0.500 0.878
Si2 Si 0.500 0.500 0.500
Rh1 Rh 0.000 0.000 0.000
Rh2 Rh 0.000 0.500 0.665
Rh3 Rh 0.500 0.500 0.000
```

Principal peaks in the range 2θ from 15° to 90°, by angle:
2θ = 23.65°, d = 3.762 Å, I 20; 2θ = 32.63°, d = 2.744 Å, I 16; 2θ = 33.16°, d = 2.701 Å, I 37; 2θ = 35.68°, d = 2.517 Å, I 100; 2θ = 45.29°, d = 2.002 Å, I 36; 2θ = 47.21°, d = 1.925 Å, I 23; 2θ = 56.93°, d = 1.618 Å, I 12; 2θ = 57.27°, d = 1.609 Å, I 16; 2θ = 67.49°, d = 1.388 Å, I 16; 2θ = 77.33°, d = 1.234 Å, I 22


[6]
Diffraction record for ScPaInRu. The X-ray powder pattern is theoretical, not measured: it uses DFT lattice parameters and positions (PBE) and Cu Kα (λ = 1.5418 Å).
No peak broadening, texture or thermal motion is included.

Atomic structure:
```
data_ScPaInRu
_chemical_formula_sum 'Sc4 Pa4 In4 Ru4'
_symmetry_space_group_name_H-M 'F -4 3 m'
_symmetry_Int_Tables_number 216
_symmetry_space_group_name_Hall 'F -4 2 3'
_cell_length_a 6.842
_cell_length_b 6.842
_cell_length_c 6.842
_cell_angle_alpha 90.00
_cell_angle_beta 90.00
_cell_angle_gamma 90.00
loop_
_atom_site_label
_atom_site_type_symbol
_atom_site_fract_x
_atom_site_fract_y
_atom_site_fract_z
Sc1 Sc 0.000 0.000 0.000
Pa1 Pa 0.250 0.250 0.250
In1 In 0.250 0.250 0.750
Ru1 Ru 0.000 0.000 0.500
```

Principal peaks in the range 2θ from 15° to 90°, by angle:
2θ = 22.51°, d = 3.950 Å, I 15; 2θ = 26.05°, d = 3.421 Å, I 19; 2θ = 37.17°, d = 2.419 Å, I 100; 2θ = 43.89°, d = 2.063 Å, I 8; 2θ = 45.95°, d = 1.975 Å, I 6; 2θ = 53.58°, d = 1.711 Å, I 17; 2θ = 60.52°, d = 1.530 Å, I 8; 2θ = 67.01°, d = 1.397 Å, I 35; 2θ = 79.19°, d = 1.210 Å, I 11; 2θ = 85.07°, d = 1.140 Å, I 4


[7]
Diffraction record for Pa2InSi2Ru5. The X-ray powder pattern is theoretical, not measured: it uses DFT lattice parameters and positions (PBE) and Cu Kα (λ = 1.5418 Å).
No peak broadening, texture or thermal motion is included.

Atomic structure:
```
data_Pa2InSi2Ru5
_chemical_formula_sum 'Pa4 In2 Si4 Ru10'
_symmetry_space_group_name_H-M 'P 4/m b m'
_symmetry_Int_Tables_number 127
_symmetry_space_group_name_Hall '-P 4 2ab'
_cell_length_a 9.844
_cell_length_b 9.844
_cell_length_c 3.503
_cell_angle_alpha 90.00
_cell_angle_beta 90.00
_cell_angle_gamma 90.00
loop_
_atom_site_label
_atom_site_type_symbol
_atom_site_fract_x
_atom_site_fract_y
_atom_site_fract_z
Pa1 Pa 0.178 0.322 0.000
In1 In 0.000 0.000 0.000
Si1 Si 0.120 0.620 0.000
Ru1 Ru 0.000 0.500 0.500
Ru2 Ru 0.076 0.785 0.500
```

Principal peaks in the range 2θ from 15° to 90°, by angle:
2θ = 20.17°, d = 4.402 Å, I 19; 2θ = 32.67°, d = 2.741 Å, I 87; 2θ = 36.39°, d = 2.469 Å, I 33; 2θ = 37.68°, d = 2.387 Å, I 80; 2θ = 38.70°, d = 2.327 Å, I 100; 2θ = 38.81°, d = 2.320 Å, I 19; 2θ = 41.00°, d = 2.201 Å, I 25; 2θ = 41.96°, d = 2.153 Å, I 31; 2θ = 52.23°, d = 1.751 Å, I 23; 2θ = 66.18°, d = 1.412 Å, I 31


[8]
Diffraction record for Pa2In2S7. The X-ray powder pattern is theoretical, not measured: it uses DFT lattice parameters and positions (PBE) and Cu Kα (λ = 1.5418 Å).
No peak broadening, texture or thermal motion is included.

Atomic structure:
```
data_Pa2In2S7
_chemical_formula_sum 'Pa4 In4 S14'
_symmetry_space_group_name_H-M 'I m m 2'
_symmetry_Int_Tables_number 44
_cell_length_a 4.037
_cell_length_b 14.934
_cell_length_c 8.329
_cell_angle_alpha 90.00
_cell_angle_beta 90.00
_cell_angle_gamma 90.00
loop_
_symmetry_equiv_pos_as_xyz
'x,y,z'
'-x,-y,z'
'-x,y,z'
'x,-y,z'
'x+1/2,y+1/2,z+1/2'
'-x+1/2,-y+1/2,z+1/2'
'-x+1/2,y+1/2,z+1/2'
'x+1/2,-y+1/2,z+1/2'
loop_
_atom_site_label
_atom_site_type_symbol
_atom_site_fract_x
_atom_site_fract_y
_atom_site_fract_z
Pa1 Pa 0.000 0.000 0.000
Pa2 Pa 0.000 0.500 0.050
In1 In 0.000 0.248 0.757
S1 S 0.000 0.115 0.512
S2 S 0.000 0.184 0.082
S3 S 0.000 0.404 0.333
S4 S 0.000 0.500 0.716
```

Principal peaks in the range 2θ from 15° to 90°, by angle:
2θ = 23.83°, d = 3.734 Å, I 36; 2θ = 24.48°, d = 3.636 Å, I 100; 2θ = 27.30°, d = 3.267 Å, I 59; 2θ = 34.44°, d = 2.604 Å, I 54; 2θ = 39.39°, d = 2.288 Å, I 20; 2θ = 41.27°, d = 2.187 Å, I 18; 2θ = 42.30°, d = 2.137 Å, I 22; 2θ = 44.10°, d = 2.053 Å, I 27; 2θ = 46.56°, d = 1.950 Å, I 25; 2θ = 51.80°, d = 1.765 Å, I 18


[9]
Diffraction record for PaInS4. The X-ray powder pattern is theoretical, not measured: it uses DFT lattice parameters and positions (PBE) and Cu Kα (λ = 1.5418 Å).
No peak broadening, texture or thermal motion is included.

Atomic structure:
```
data_PaInS4
_chemical_formula_sum 'Pa8 In8 S32'
_symmetry_space_group_name_H-M 'F d d 2'
_symmetry_Int_Tables_number 43
_symmetry_space_group_name_Hall 'F 2 -2d'
_cell_length_a 12.250
_cell_length_b 12.734
_cell_length_c 7.789
_cell_angle_alpha 90.00
_cell_angle_beta 90.00
_cell_angle_gamma 90.00
loop_
_atom_site_label
_atom_site_type_symbol
_atom_site_fract_x
_atom_site_fract_y
_atom_site_fract_z
Pa1 Pa 0.000 0.000 0.000
In1 In 0.000 0.000 0.511
S1 S 0.119 0.078 0.255
S2 S 0.119 0.082 0.757
```

Principal peaks in the range 2θ from 15° to 90°, by angle:
2θ = 15.17°, d = 5.840 Å, I 17; 2θ = 20.12°, d = 4.414 Å, I 100; 2θ = 26.84°, d = 3.322 Å, I 29; 2θ = 27.13°, d = 3.286 Å, I 44; 2θ = 39.41°, d = 2.287 Å, I 36; 2θ = 40.04°, d = 2.252 Å, I 48; 2θ = 40.89°, d = 2.207 Å, I 21; 2θ = 46.68°, d = 1.946 Å, I 21; 2θ = 48.87°, d = 1.864 Å, I 18; 2θ = 51.28°, d = 1.782 Å, I 17


[10]
Diffraction record for PaTlInS4. The X-ray powder pattern is theoretical, not measured: it uses DFT lattice parameters and positions (PBE) and Cu Kα (λ = 1.5418 Å).
No peak broadening, texture or thermal motion is included.

Atomic structure:
```
data_PaTlInS4
_chemical_formula_sum 'Pa4 Tl4 In4 S16'
_symmetry_space_group_name_H-M 'I m m a'
_symmetry_Int_Tables_number 74
_symmetry_space_group_name_Hall '-I 2b 2'
_cell_length_a 8.295
_cell_length_b 9.374
_cell_length_c 10.373
_cell_angle_alpha 90.00
_cell_angle_beta 90.00
_cell_angle_gamma 90.00
loop_
_atom_site_label
_atom_site_type_symbol
_atom_site_fract_x
_atom_site_fract_y
_atom_site_fract_z
Pa1 Pa 0.250 0.250 0.250
Tl1 Tl 0.000 0.250 0.665
In1 In 0.000 0.000 0.000
S1 S 0.000 0.069 0.268
S2 S 0.201 0.250 0.000
```

Principal peaks in the range 2θ from 15° to 90°, by angle:
2θ = 18.93°, d = 4.687 Å, I 39; 2θ = 22.33°, d = 3.981 Å, I 27; 2θ = 23.43°, d = 3.797 Å, I 32; 2θ = 25.00°, d = 3.562 Å, I 100; 2θ = 25.62°, d = 3.477 Å, I 37; 2θ = 27.50°, d = 3.243 Å, I 24; 2θ = 27.96°, d = 3.192 Å, I 37; 2θ = 37.05°, d = 2.426 Å, I 57; 2θ = 44.76°, d = 2.025 Å, I 27; 2θ = 45.57°, d = 1.991 Å, I 45


[11]
Diffraction record for PaIn2Sb. The X-ray powder pattern is theoretical, not measured: it uses DFT lattice parameters and positions (PBE) and Cu Kα (λ = 1.5418 Å).
No peak broadening, texture or thermal motion is included.

Atomic structure:
```
data_PaIn2Sb
_chemical_formula_sum 'Pa1 In2 Sb1'
_symmetry_space_group_name_H-M 'P 4/m m m'
_symmetry_Int_Tables_number 123
_symmetry_space_group_name_Hall '-P 4 2'
_cell_length_a 4.488
_cell_length_b 4.488
_cell_length_c 4.975
_cell_angle_alpha 90.00
_cell_angle_beta 90.00
_cell_angle_gamma 90.00
loop_
_atom_site_label
_atom_site_type_symbol
_atom_site_fract_x
_atom_site_fract_y
_atom_site_fract_z
Pa1 Pa 0.000 0.000 0.000
In1 In 0.000 0.500 0.500
Sb1 Sb 0.500 0.500 0.000
```

Principal peaks in the range 2θ from 15° to 90°, by angle:
2θ = 19.78°, d = 4.488 Å, I 6; 2θ = 26.75°, d = 3.332 Å, I 6; 2θ = 33.49°, d = 2.675 Å, I 100; 2θ = 36.11°, d = 2.487 Å, I 20; 2θ = 40.19°, d = 2.244 Å, I 30; 2θ = 55.12°, d = 1.666 Å, I 24; 2θ = 58.14°, d = 1.587 Å, I 10; 2θ = 63.28°, d = 1.470 Å, I 16; 2θ = 68.79°, d = 1.365 Å, I 25; 2θ = 70.38°, d = 1.338 Å, I 11


[12]
Diffraction record for Pa3In2Se8. The X-ray powder pattern is theoretical, not measured: it uses DFT lattice parameters and positions (PBE) and Cu Kα (λ = 1.5418 Å).
No peak broadening, texture or thermal motion is included.

Atomic structure:
```
data_Pa3In2Se8
_chemical_formula_sum 'Pa3 In2 Se8'
_symmetry_space_group_name_H-M 'P 1 2/m 1'
_symmetry_Int_Tables_number 10
_cell_length_a 9.519
_cell_length_b 4.275
_cell_length_c 11.722
_cell_angle_alpha 90.00
_cell_angle_beta 113.30
_cell_angle_gamma 90.00
loop_
_symmetry_equiv_pos_as_xyz
'x,y,z'
'-x,-y,-z'
'-x,y,-z'
'x,-y,z'
loop_
_atom_site_label
_atom_site_type_symbol
_atom_site_fract_x
_atom_site_fract_y
_atom_site_fract_z
Pa1 Pa 0.000 0.000 0.000
Pa2 Pa 0.264 0.500 0.343
In1 In 0.256 0.000 0.686
Se1 Se 0.052 0.500 0.862
Se2 Se 0.118 0.000 0.409
Se3 Se 0.296 0.000 0.183
Se4 Se 0.420 0.500 0.607
```

Principal peaks in the range 2θ from 15° to 90°, by angle:
2θ = 18.64°, d = 4.759 Å, I 29; 2θ = 23.18°, d = 3.836 Å, I 43; 2θ = 24.82°, d = 3.588 Å, I 50; 2θ = 26.06°, d = 3.420 Å, I 100; 2θ = 31.02°, d = 2.883 Å, I 72; 2θ = 32.82°, d = 2.729 Å, I 38; 2θ = 35.46°, d = 2.532 Å, I 84; 2θ = 41.33°, d = 2.184 Å, I 36; 2θ = 42.28°, d = 2.138 Å, I 39; 2θ = 44.32°, d = 2.044 Å, I 34